(1)
Simulated X-ray diffraction stick pattern
Compound: Rb3InF7
Radiation: Cu Kα, 1.54184 Å
Structure: a crystal structure in Alexandria, relaxed with PBE
Lines closer than 0.1° are merged.

Structural model:
abc: 6.7688 6.7688 6.4404
angles: 116.95 116.95 92.76
Element x y z (fractional)
Rb 0.0000 0.0000 0.0000
Rb 0.2322 0.6966 0.4646
Rb 0.6966 0.2322 0.4646
In 0.5226 0.5226 0.0197
F 0.1572 0.3607 0.5994
F 0.3409 0.7737 0.0769
F 0.3549 0.3549 0.1266
F 0.3607 0.1572 0.5994
F 0.6433 0.6433 0.8399
F 0.7737 0.3409 0.0769
F 0.7936 0.7936 0.4307

Principal peaks in the range 10° ≤ 2θ ≤ 90°, by angle:
2theta	intensity
25.30	48
25.83	100
26.42	84
27.73	49
36.68	30
37.03	27
38.72	28
44.53	28

---

(2)
Simulated X-ray diffraction stick pattern
Compound: La6TbHoTm2
Radiation: Cu Kα, 1.54184 Å
Structure: a crystal structure in Alexandria, relaxed with PBE
Lines closer than 0.1° are merged.

Structural model:
abc: 9.0068 9.0068 9.7782
angles: 94.35 94.35 117.68
Element x y z (fractional)
La 0.0037 0.5611 0.1928
La 0.1087 0.7605 0.5524
La 0.2395 0.8913 0.9476
La 0.2961 0.5095 0.3799
La 0.4389 0.9963 0.3072
La 0.4905 0.7039 0.1201
La 0.5095 0.2961 0.8799
La 0.5611 0.0037 0.6928
La 0.7039 0.4905 0.6201
La 0.7605 0.1087 0.0524
La 0.8913 0.2395 0.4476
La 0.9963 0.4389 0.8072
Tb 0.0267 0.9733 0.2500
Tb 0.9733 0.0267 0.7500
Ho 0.4118 0.5882 0.7500
Ho 0.5882 0.4118 0.2500
Tm 0.1981 0.2915 0.0467
Tm 0.2915 0.1981 0.5467
Tm 0.7085 0.8019 0.4533
Tm 0.8019 0.7085 0.9533

Principal peaks in the range 10° ≤ 2θ ≤ 90°, by angle:
2theta	intensity
27.27	42
28.07	66
29.75	76
30.04	77
30.58	59
30.78	69
30.95	100
33.03	56

---

(3)
Simulated X-ray diffraction stick pattern
Compound: YSc2In2Ag2
Radiation: Cu Kα, 1.54184 Å
Structure: a crystal structure in Alexandria, relaxed with PBE
Lines closer than 0.1° are merged.

Structural model:
abc: 8.7621 8.7621 8.7621
angles: 31.43 31.43 31.43
Element x y z (fractional)
Y 0.0000 0.0000 0.0000
Sc 0.1352 0.1352 0.1352
Sc 0.8648 0.8648 0.8648
In 0.2604 0.2604 0.2604
In 0.7396 0.7396 0.7396
Ag 0.4366 0.4366 0.4366
Ag 0.5634 0.5634 0.5634

Principal peaks in the range 10° ≤ 2θ ≤ 90°, by angle:
2theta	intensity
21.35	23
25.96	34
33.26	85
37.92	100
43.92	21
51.31	23
65.54	22
68.49	16